Entry 1:
The following is a calculated X-ray diffraction stick pattern of Tb5Dy4Er4. It was derived from a PBE-relaxed structure, using λ = 1.5418 Å (Cu Kα).

Atomic structure:
abc: 12.7288 12.7288 4.9860
angles: 90.00 90.00 90.00
Space group I4/m (No. 87)
One atom of each set of equivalent atoms:
Tb  0.0000  0.0000  0.0000 (multiplicity 2)
Tb  0.0384  0.1932  0.5000 (multiplicity 8)
Dy  0.1541  0.7687  0.0000 (multiplicity 8)
Er  0.0765  0.3853  0.0000 (multiplicity 8)

Peak list (5 most intense, 2θ = 5–70°, by intensity)
Position (°2θ)  I (rel.)
31.04  100.0
35.99  50.6
61.64  42.7
51.82  36.0
64.71  12.3

=====

Entry 2:
The following is a calculated X-ray diffraction stick pattern of LiCoRh. It was derived from a PBE-relaxed structure, using λ = 1.5418 Å (Cu Kα).

Atomic structure:
abc: 12.9310 2.6426 4.5748
angles: 90.00 90.00 90.00
Space group Amm2 (No. 38)
One atom of each set of equivalent atoms:
Li  0.1671  0.0000  0.0000 (multiplicity 4)
Co  0.3390  0.0000  0.3357 (multiplicity 4)
Rh  0.0000  0.0000  0.3336 (multiplicity 2)
Rh  0.5000  0.0000  0.0022 (multiplicity 2)

Peak list (12 most intense, 2θ = 5–70°, by intensity)
Position (°2θ)  I (rel.)
44.85  100.0
13.70  83.6
6.84  58.8
41.91  36.0
39.38  31.4
40.02  23.8
20.61  18.6
58.87  17.8
53.47  13.3
27.59  11.6
48.76  6.8
64.88  5.2

=====

Entry 3:
The following is a calculated X-ray diffraction stick pattern of KCrSb. It was derived from a PBE-relaxed structure, using λ = 1.5418 Å (Cu Kα).

Atomic structure:
abc: 3.8536 3.8536 12.3714
angles: 90.00 90.00 90.00
Space group I4mm (No. 107)
One atom of each set of equivalent atoms:
K  0.0000  0.0000  0.0000 (multiplicity 2)
Cr  0.0000  0.0000  0.7334 (multiplicity 2)
Sb  0.0000  0.0000  0.2857 (multiplicity 2)

Peak list (12 most intense, 2θ = 5–70°, by intensity)
Position (°2θ)  I (rel.)
14.32  100.0
32.87  76.6
31.78  70.3
44.30  45.1
36.02  42.0
28.87  38.3
24.19  29.3
47.17  26.4
57.36  24.9
58.00  23.4
56.25  21.3
49.55  16.7

=====

Entry 4:
The following is a calculated X-ray diffraction stick pattern of Dy3NiBr3. It was derived from a PBE-relaxed structure, using λ = 1.5418 Å (Cu Kα).

Atomic structure:
abc: 8.6225 3.9466 11.6886
angles: 90.00 91.91 90.00
Space group P2_1/m (No. 11)
One atom of each set of equivalent atoms:
Dy  0.1123  0.2500  0.3388 (multiplicity 2)
Dy  0.1159  0.2500  0.8753 (multiplicity 2)
Dy  0.3020  0.7500  0.1156 (multiplicity 2)
Ni  0.0947  0.2500  0.1135 (multiplicity 2)
Br  0.1317  0.2500  0.6071 (multiplicity 2)
Br  0.3623  0.7500  0.3682 (multiplicity 2)
Br  0.4015  0.7500  0.8694 (multiplicity 2)

Peak list (12 most intense, 2θ = 5–70°, by intensity)
Position (°2θ)  I (rel.)
30.72  100.0
30.61  50.1
7.57  41.3
10.26  39.3
43.40  36.7
44.44  24.1
46.00  20.5
56.26  19.1
12.97  14.9
38.77  12.7
32.30  11.9
41.93  11.9

=====

Entry 5:
The following is a calculated X-ray diffraction stick pattern of HfZrHN2. It was derived from a PBE-relaxed structure, using λ = 1.5418 Å (Cu Kα).

Atomic structure:
abc: 4.2140 4.2140 3.4522
angles: 90.00 90.00 90.00
Space group P4/mmm (No. 123)
One atom of each set of equivalent atoms:
Hf  0.0000  0.0000  0.0000 (multiplicity 1)
Zr  0.5000  0.5000  0.5000 (multiplicity 1)
H  0.5000  0.5000  0.0000 (multiplicity 1)
N  0.0000  0.5000  0.5000 (multiplicity 2)

Peak list (12 most intense, 2θ = 5–70°, by intensity)
Position (°2θ)  I (rel.)
33.56  100.0
29.99  55.1
55.56  47.5
42.92  30.8
62.15  14.6
21.08  13.6
39.97  10.5
62.32  9.8
53.06  8.1
48.29  3.5
57.72  2.1
25.81  1.9

=====

Entry 6:
The following is a calculated X-ray diffraction stick pattern of LiTlSiBr2. It was derived from a PBE-relaxed structure, using λ = 1.5418 Å (Cu Kα).

Atomic structure:
abc: 4.6303 5.8098 7.2888
angles: 68.57 89.63 70.71
Space group P1 (No. 1)
One atom of each set of equivalent atoms:
Li  0.0000  0.0000  0.0000 (multiplicity 1)
Tl  0.0177  0.9396  0.4666 (multiplicity 1)
Si  0.4659  0.0732  0.2107 (multiplicity 1)
Br  0.3490  0.5142  0.2149 (multiplicity 1)
Br  0.4297  0.1914  0.8385 (multiplicity 1)

Peak list (12 most intense, 2θ = 5–70°, by intensity)
Position (°2θ)  I (rel.)
25.82  100.0
25.54  68.7
13.16  56.1
21.80  51.5
31.51  47.3
32.66  42.7
17.52  39.5
23.29  34.7
27.63  34.1
30.31  31.2
22.92  30.7
35.86  24.6

=====

Entry 7:
The following is a calculated X-ray diffraction stick pattern of Li2Ca2LaSi2. It was derived from a PBE-relaxed structure, using λ = 1.5418 Å (Cu Kα).

Atomic structure:
abc: 4.5933 4.5933 27.8386
angles: 90.00 90.00 120.00
Space group R-3m (No. 166, hexagonal axes)
One atom of each set of equivalent atoms:
Li  0.0000  0.0000  0.0943 (multiplicity 6)
Ca  0.0000  0.0000  0.3727 (multiplicity 6)
La  0.0000  0.0000  0.5000 (multiplicity 3)
Si  0.0000  0.0000  0.2380 (multiplicity 6)

Peak list (12 most intense, 2θ = 5–70°, by intensity)
Position (°2θ)  I (rel.)
22.58  100.0
34.24  73.1
31.82  69.7
39.23  57.5
9.53  49.3
51.37  22.0
64.56  21.9
25.80  20.9
53.03  19.9
67.91  18.5
66.48  17.6
23.26  16.9

=====

Entry 8:
The following is a calculated X-ray diffraction stick pattern of KInSiS4. It was derived from a PBE-relaxed structure, using λ = 1.5418 Å (Cu Kα).

Atomic structure:
abc: 8.5406 12.4382 7.4496
angles: 90.00 90.00 90.00
Space group Cmcm (No. 63)
One atom of each set of equivalent atoms:
K  0.0000  0.0000  0.0000 (multiplicity 4)
In  0.0000  0.3753  0.2500 (multiplicity 4)
Si  0.0000  0.3680  0.7500 (multiplicity 4)
S  0.0000  0.2600  0.5246 (multiplicity 8)
S  0.1975  0.4749  0.7500 (multiplicity 8)

Peak list (12 most intense, 2θ = 5–70°, by intensity)
Position (°2θ)  I (rel.)
27.08  100.0
12.57  90.3
43.43  83.5
20.80  76.1
23.86  66.9
38.38  42.7
37.68  37.5
28.03  36.9
57.95  25.8
17.33  22.0
42.33  19.6
18.59  18.2